Entry 1:
This entry pairs a crystal structure of ZnCu2SeO6 with its computed powder diffractogram. Radiation: copper Kα. Structure: a crystal structure in Alexandria, relaxed with PBE.
Peak positions follow from Bragg's law for the DFT cell and can differ from measured ones.

Top 8 peaks for 2θ from 10° to 80°, by angle:
29.94 deg, intensity 79
31.33 deg, intensity 46
32.99 deg, intensity 30
33.55 deg, intensity 72
34.28 deg, intensity 62
35.58 deg, intensity 100
61.54 deg, intensity 42
62.22 deg, intensity 53

Structural model:
a b c (Å): 6.528 6.528 5.264
angles (deg): 94.57 94.57 85.85
Fractional coordinates of all 20 atoms:
Zn (0.087, 0.913, 0.750)
Zn (0.913, 0.087, 0.250)
Cu (0.219, 0.411, 0.704)
Cu (0.411, 0.219, 0.204)
Cu (0.589, 0.781, 0.796)
Cu (0.781, 0.589, 0.296)
Se (0.264, 0.736, 0.250)
Se (0.736, 0.264, 0.750)
O (0.008, 0.214, 0.628)
O (0.148, 0.648, 0.937)
O (0.214, 0.008, 0.128)
O (0.285, 0.474, 0.363)
O (0.352, 0.852, 0.563)
O (0.474, 0.285, 0.863)
O (0.526, 0.715, 0.137)
O (0.648, 0.148, 0.437)
O (0.715, 0.526, 0.637)
O (0.786, 0.992, 0.872)
O (0.852, 0.352, 0.063)
O (0.992, 0.786, 0.372)

=====

Entry 2:
This entry pairs a crystal structure of Cu5Si4O14 with its computed powder diffractogram. Radiation: copper Kα. Structure: a crystal structure in Alexandria, relaxed with PBE.
Peak positions follow from Bragg's law for the DFT cell and can differ from measured ones.

Top 8 peaks for 2θ from 10° to 80°, by angle:
13.62 deg, intensity 70
19.08 deg, intensity 36
24.79 deg, intensity 67
29.48 deg, intensity 100
29.79 deg, intensity 43
33.98 deg, intensity 46
34.32 deg, intensity 56
34.54 deg, intensity 35

Structural model:
a b c (Å): 5.763 7.652 7.681
angles (deg): 65.98 88.13 69.56
Fractional coordinates of all 23 atoms:
Cu (0.000, 0.000, 0.000)
Cu (0.084, 0.609, 0.814)
Cu (0.318, 0.574, 0.282)
Cu (0.682, 0.426, 0.718)
Cu (0.916, 0.391, 0.186)
Si (0.199, 0.213, 0.589)
Si (0.487, 0.761, 0.855)
Si (0.513, 0.239, 0.145)
Si (0.801, 0.787, 0.411)
O (0.003, 0.217, 0.755)
O (0.092, 0.187, 0.412)
O (0.216, 0.375, 0.057)
O (0.290, 0.408, 0.532)
O (0.316, 0.777, 0.030)
O (0.403, 0.631, 0.755)
O (0.438, 0.997, 0.709)
O (0.562, 0.003, 0.291)
O (0.597, 0.369, 0.245)
O (0.684, 0.223, 0.970)
O (0.710, 0.592, 0.468)
O (0.784, 0.625, 0.943)
O (0.908, 0.813, 0.588)
O (0.997, 0.783, 0.245)

=====

Entry 3:
This entry pairs a crystal structure of U2CuSi2O17 with its computed powder diffractogram. Radiation: copper Kα. Structure: a crystal structure in Alexandria, relaxed with PBE.
Peak positions follow from Bragg's law for the DFT cell and can differ from measured ones.

Top 8 peaks for 2θ from 10° to 80°, by angle:
12.47 deg, intensity 100
15.66 deg, intensity 42
18.28 deg, intensity 34
18.68 deg, intensity 26
25.08 deg, intensity 38
26.00 deg, intensity 56
29.56 deg, intensity 19
30.58 deg, intensity 19

Structural model:
a b c (Å): 6.857 7.063 7.609
angles (deg): 75.82 74.39 88.49
Fractional coordinates of all 22 atoms:
U (0.138, 0.242, 0.005)
U (0.862, 0.758, 0.995)
Cu (0.500, 0.500, 0.500)
Si (0.342, 0.756, 0.934)
Si (0.658, 0.244, 0.066)
O (0.000, 0.000, 0.500)
O (0.064, 0.151, 0.274)
O (0.185, 0.568, 0.993)
O (0.186, 0.929, 0.967)
O (0.195, 0.313, 0.750)
O (0.345, 0.526, 0.347)
O (0.359, 0.705, 0.597)
O (0.458, 0.240, 0.996)
O (0.468, 0.781, 0.690)
O (0.532, 0.219, 0.310)
O (0.542, 0.760, 0.004)
O (0.641, 0.295, 0.403)
O (0.655, 0.474, 0.653)
O (0.805, 0.687, 0.250)
O (0.814, 0.071, 0.033)
O (0.815, 0.432, 0.007)
O (0.936, 0.849, 0.726)

=====

Entry 4:
This entry pairs a crystal structure of SmCu6O8 with its computed powder diffractogram. Radiation: copper Kα. Structure: a crystal structure in Alexandria, relaxed with PBE.
Peak positions follow from Bragg's law for the DFT cell and can differ from measured ones.

Top 8 peaks for 2θ from 10° to 80°, by angle:
15.97 deg, intensity 39
27.85 deg, intensity 26
36.20 deg, intensity 100
39.79 deg, intensity 67
60.13 deg, intensity 26
62.65 deg, intensity 35
67.53 deg, intensity 17
79.09 deg, intensity 17

Structural model:
a b c (Å): 5.549 5.549 5.549
angles (deg): 90.00 90.00 90.00
Fractional coordinates of all 15 atoms:
Sm (0.000, 0.000, 0.000)
Cu (0.000, 0.265, 0.500)
Cu (0.000, 0.735, 0.500)
Cu (0.265, 0.500, 0.000)
Cu (0.500, 0.000, 0.265)
Cu (0.500, 0.000, 0.735)
Cu (0.735, 0.500, 0.000)
O (0.247, 0.247, 0.247)
O (0.247, 0.247, 0.753)
O (0.247, 0.753, 0.247)
O (0.247, 0.753, 0.753)
O (0.753, 0.247, 0.247)
O (0.753, 0.247, 0.753)
O (0.753, 0.753, 0.247)
O (0.753, 0.753, 0.753)